No. 1
Calculated powder X-ray diffraction pattern of K4LaTa3O12 for CuKα, from a DFT-relaxed cell (PBE, Alexandria).

Peak list (8 most intense, 10 to 90 degrees two-theta, by angle)
21.13°, d 4.205, intensity 66
30.05°, d 2.974, intensity 100
43.02°, d 2.103, intensity 32
48.40°, d 1.881, intensity 30
53.37°, d 1.717, intensity 40
62.47°, d 1.487, intensity 20
70.86°, d 1.330, intensity 18
86.62°, d 1.124, intensity 21

Structure:
Cell lengths 7.2836, 7.2836, 7.2836 Å; angles 109.47, 109.47, 109.47 degrees
Element x y z (fractional)
1 K 0.0000 0.0000 0.5000
2 K 0.0000 0.5000 0.0000
3 K 0.5000 0.0000 0.0000
4 K 0.5000 0.5000 0.5000
5 La 0.0000 0.0000 0.0000
6 Ta 0.0000 0.5000 0.5000
7 Ta 0.5000 0.0000 0.5000
8 Ta 0.5000 0.5000 0.0000
9 O 0.0000 0.2733 0.2733
10 O 0.0000 0.7267 0.7267
11 O 0.2500 0.5000 0.7500
12 O 0.2500 0.7500 0.5000
13 O 0.2733 0.0000 0.2733
14 O 0.2733 0.2733 0.0000
15 O 0.5000 0.2500 0.7500
16 O 0.5000 0.7500 0.2500
17 O 0.7267 0.0000 0.7267
18 O 0.7267 0.7267 0.0000
19 O 0.7500 0.2500 0.5000
20 O 0.7500 0.5000 0.2500



No. 2
Calculated powder X-ray diffraction pattern of AlCr2Rh for CuKα, from a DFT-relaxed cell (PBE, Alexandria).

Peak list (8 most intense, 10 to 90 degrees two-theta, by angle)
22.67°, d 3.922, intensity 14
30.67°, d 2.915, intensity 13
41.46°, d 2.178, intensity 27
42.34°, d 2.135, intensity 100
46.30°, d 1.961, intensity 19
63.88°, d 1.457, intensity 15
76.23°, d 1.249, intensity 16
83.05°, d 1.163, intensity 13

Structure:
Cell lengths 3.1352, 3.9222, 4.3558 Å; angles 90.00, 90.00, 90.00 degrees
Element x y z (fractional)
1 Al 0.0000 0.0000 0.0000
2 Cr 0.0000 0.5000 0.5000
3 Cr 0.5000 0.0000 0.5000
4 Rh 0.5000 0.5000 0.0000



No. 3
Calculated powder X-ray diffraction pattern of La3Sm3Sc for CuKα, from a DFT-relaxed cell (PBE, Alexandria).

Peak list (8 most intense, 10 to 90 degrees two-theta, by angle)
28.07°, d 3.179, intensity 24
30.69°, d 2.913, intensity 25
32.07°, d 2.791, intensity 100
42.07°, d 2.148, intensity 16
49.67°, d 1.835, intensity 20
55.45°, d 1.657, intensity 21
59.53°, d 1.553, intensity 23
60.36°, d 1.533, intensity 16

Structure:
Cell lengths 9.7122, 9.7122, 5.8255 Å; angles 90.00, 90.00, 120.00 degrees
Element x y z (fractional)
1 La 0.0550 0.2479 0.2500
2 La 0.1929 0.9450 0.2500
3 La 0.2479 0.1929 0.7500
4 La 0.7521 0.8071 0.2500
5 La 0.8071 0.0550 0.7500
6 La 0.9450 0.7521 0.7500
7 Sm 0.0976 0.4847 0.7500
8 Sm 0.3871 0.9024 0.7500
9 Sm 0.4847 0.3871 0.2500
10 Sm 0.5153 0.6129 0.7500
11 Sm 0.6129 0.0976 0.2500
12 Sm 0.9024 0.5153 0.2500
13 Sc 0.3333 0.6667 0.2500
14 Sc 0.6667 0.3333 0.7500



No. 4
Calculated powder X-ray diffraction pattern of Sr2NiCl for CuKα, from a DFT-relaxed cell (PBE, Alexandria).

Peak list (8 most intense, 10 to 90 degrees two-theta, by angle)
11.24°, d 7.875, intensity 22
25.84°, d 3.448, intensity 33
31.21°, d 2.866, intensity 100
36.47°, d 2.464, intensity 30
43.47°, d 2.082, intensity 44
45.93°, d 1.976, intensity 24
54.48°, d 1.684, intensity 20
72.14°, d 1.309, intensity 17

Structure:
Cell lengths 8.2335, 8.2335, 8.2335 Å; angles 29.29, 29.29, 29.29 degrees
Element x y z (fractional)
1 Sr 0.0000 0.0000 0.0000
2 Sr 0.1888 0.1888 0.1888
3 Ni 0.5944 0.5944 0.5944
4 Cl 0.7628 0.7628 0.7628



No. 5
Calculated powder X-ray diffraction pattern of Ag3I4 for CuKα, from a DFT-relaxed cell (PBE, Alexandria).

Peak list (8 most intense, 10 to 90 degrees two-theta, by angle)
24.01°, d 3.706, intensity 100
31.16°, d 2.871, intensity 9
39.72°, d 2.269, intensity 75
46.95°, d 1.935, intensity 47
57.42°, d 1.605, intensity 12
63.14°, d 1.473, intensity 18
72.08°, d 1.310, intensity 24
77.23°, d 1.235, intensity 13

Structure:
Cell lengths 6.4189, 6.4189, 6.4189 Å; angles 90.00, 90.00, 90.00 degrees
Element x y z (fractional)
1 Ag 0.0000 0.0000 0.5000
2 Ag 0.0000 0.5000 0.0000
3 Ag 0.5000 0.0000 0.0000
4 I 0.2608 0.2608 0.7392
5 I 0.2608 0.7392 0.2608
6 I 0.7392 0.2608 0.2608
7 I 0.7392 0.7392 0.7392



No. 6
Calculated powder X-ray diffraction pattern of Sc2Cu for CuKα, from a DFT-relaxed cell (PBE, Alexandria).

Peak list (8 most intense, 10 to 90 degrees two-theta, by angle)
11.82°, d 7.488, intensity 10
22.05°, d 4.030, intensity 10
35.98°, d 2.496, intensity 21
37.62°, d 2.391, intensity 28
37.76°, d 2.382, intensity 100
40.76°, d 2.214, intensity 10
53.04°, d 1.727, intensity 12
67.99°, d 1.379, intensity 15

Structure:
Cell lengths 7.6669, 7.6669, 4.7822 Å; angles 90.00, 90.00, 155.21 degrees
Element x y z (fractional)
1 Sc 0.0795 0.9205 0.7500
2 Sc 0.2200 0.7800 0.2500
3 Sc 0.7800 0.2200 0.7500
4 Sc 0.9205 0.0795 0.2500
5 Cu 0.4272 0.5728 0.7500
6 Cu 0.5728 0.4272 0.2500



No. 7
Calculated powder X-ray diffraction pattern of SnIrPtSe for CuKα, from a DFT-relaxed cell (PBE, Alexandria).

Peak list (8 most intense, 10 to 90 degrees two-theta, by angle)
14.16°, d 6.255, intensity 66
21.64°, d 4.106, intensity 77
28.83°, d 3.097, intensity 58
36.10°, d 2.488, intensity 23
36.34°, d 2.472, intensity 100
44.11°, d 2.053, intensity 36
44.41°, d 2.040, intensity 95
49.00°, d 1.859, intensity 27

Structure:
Cell lengths 3.5641, 4.1063, 6.2549 Å; angles 90.00, 90.00, 90.00 degrees
Element x y z (fractional)
1 Sn 0.0000 0.0000 0.0000
2 Ir 0.0000 0.5000 0.7305
3 Pt 0.5000 0.5000 0.0899
4 Se 0.5000 0.5000 0.4877



No. 8
Calculated powder X-ray diffraction pattern of ZnFe2Ir4 for CuKα, from a DFT-relaxed cell (PBE, Alexandria).

Peak list (8 most intense, 10 to 90 degrees two-theta, by angle)
28.02°, d 3.185, intensity 28
32.14°, d 2.785, intensity 26
37.22°, d 2.416, intensity 37
42.70°, d 2.118, intensity 100
42.99°, d 2.104, intensity 72
62.20°, d 1.492, intensity 24
74.12°, d 1.279, intensity 18
78.39°, d 1.220, intensity 25

Structure:
Cell lengths 4.2352, 4.2352, 12.8413 Å; angles 90.00, 90.00, 120.00 degrees
Element x y z (fractional)
1 Zn 0.0000 0.0000 0.2500
2 Zn 0.0000 0.0000 0.7500
3 Fe 0.3333 0.6667 0.0579
4 Fe 0.3333 0.6667 0.4421
5 Fe 0.6667 0.3333 0.5579
6 Fe 0.6667 0.3333 0.9421
7 Ir 0.0000 0.0000 0.0000
8 Ir 0.0000 0.0000 0.5000
9 Ir 0.3333 0.6667 0.2500
10 Ir 0.3333 0.6667 0.6394
11 Ir 0.3333 0.6667 0.8606
12 Ir 0.6667 0.3333 0.1394
13 Ir 0.6667 0.3333 0.3606
14 Ir 0.6667 0.3333 0.7500



No. 9
Calculated powder X-ray diffraction pattern of TcRuN for CuKα, from a DFT-relaxed cell (PBE, Alexandria).

Peak list (8 most intense, 10 to 90 degrees two-theta, by angle)
31.94°, d 2.802, intensity 29
36.15°, d 2.485, intensity 32
36.69°, d 2.450, intensity 39
37.80°, d 2.380, intensity 58
39.46°, d 2.284, intensity 41
40.00°, d 2.254, intensity 100
42.19°, d 2.142, intensity 71
49.11°, d 1.855, intensity 47

Structure:
Cell lengths 5.1294, 10.0375, 2.7881 Å; angles 90.00, 90.00, 90.00 degrees
Element x y z (fractional)
1 Tc 0.1073 0.1849 0.0000
2 Tc 0.3927 0.6849 0.5000
3 Tc 0.6073 0.3151 0.5000
4 Tc 0.8927 0.8151 0.0000
5 Ru 0.2488 0.4530 0.0000
6 Ru 0.2512 0.9530 0.5000
7 Ru 0.7488 0.0470 0.5000
8 Ru 0.7512 0.5470 0.0000
9 N 0.1106 0.6483 0.0000
10 N 0.3894 0.1483 0.5000
11 N 0.6106 0.8517 0.5000
12 N 0.8894 0.3517 0.0000



No. 10
Calculated powder X-ray diffraction pattern of HfUTa2C4 for CuKα, from a DFT-relaxed cell (PBE, Alexandria).

Peak list (8 most intense, 10 to 90 degrees two-theta, by angle)
32.72°, d 2.737, intensity 35
33.89°, d 2.645, intensity 100
39.00°, d 2.310, intensity 84
55.56°, d 1.654, intensity 28
57.11°, d 1.613, intensity 28
67.39°, d 1.390, intensity 28
68.09°, d 1.377, intensity 14
71.32°, d 1.322, intensity 14

Structure:
Cell lengths 11.1050, 11.1050, 11.1050 Å; angles 16.70, 16.70, 16.70 degrees
Element x y z (fractional)
1 Hf 0.0000 0.0000 0.0000
2 U 0.7553 0.7553 0.7553
3 Ta 0.2533 0.2533 0.2533
4 Ta 0.5079 0.5079 0.5079
5 C 0.1371 0.1371 0.1371
6 C 0.3747 0.3747 0.3747
7 C 0.6244 0.6244 0.6244
8 C 0.8811 0.8811 0.8811



No. 11
Calculated powder X-ray diffraction pattern of Rb2CuHSe2 for CuKα, from a DFT-relaxed cell (PBE, Alexandria).

Peak list (8 most intense, 10 to 90 degrees two-theta, by angle)
27.55°, d 3.237, intensity 65
29.01°, d 3.078, intensity 100
31.84°, d 2.811, intensity 89
34.43°, d 2.605, intensity 59
35.93°, d 2.499, intensity 52
37.28°, d 2.412, intensity 68
38.07°, d 2.364, intensity 86
56.51°, d 1.628, intensity 62

Structure:
Cell lengths 8.4505, 8.4505, 8.4505 Å; angles 129.34, 70.10, 134.95 degrees
Element x y z (fractional)
1 Rb 0.1457 0.1759 0.3216
2 Rb 0.3543 0.6759 0.0302
3 Rb 0.6457 0.3241 0.9698
4 Rb 0.8543 0.8241 0.6784
5 Cu 0.2500 0.7500 0.5000
6 Cu 0.7500 0.2500 0.5000
7 H 0.2500 0.2500 0.0000
8 H 0.7500 0.7500 0.0000
9 Se 0.0922 0.6858 0.7780
10 Se 0.4078 0.1858 0.5936
11 Se 0.5922 0.8142 0.4064
12 Se 0.9078 0.3142 0.2220



No. 12
Calculated powder X-ray diffraction pattern of MgTe4Pb6Br4O12 for CuKα, from a DFT-relaxed cell (PBE, Alexandria).

Peak list (8 most intense, 10 to 90 degrees two-theta, by angle)
10.75°, d 8.233, intensity 83
26.53°, d 3.360, intensity 69
26.99°, d 3.303, intensity 65
28.30°, d 3.153, intensity 47
28.42°, d 3.141, intensity 66
28.92°, d 3.087, intensity 36
29.08°, d 3.071, intensity 100
30.87°, d 2.896, intensity 89

Structure:
Cell lengths 5.7948, 9.5889, 12.2332 Å; angles 104.76, 91.09, 106.23 degrees
Element x y z (fractional)
1 Mg 0.0000 0.0000 0.0000
2 Te 0.2347 0.4108 0.4503
3 Te 0.5576 0.9932 0.6454
4 Te 0.8166 0.5066 0.9587
5 Te 0.9655 0.8305 0.1589
6 Pb 0.0834 0.0386 0.4540
7 Pb 0.1931 0.2397 0.8207
8 Pb 0.3854 0.6638 0.8589
9 Pb 0.4388 0.7611 0.3122
10 Pb 0.6122 0.1571 0.2675
11 Pb 0.7796 0.3832 0.6461
12 Br 0.1928 0.2739 0.1186
13 Br 0.5763 0.0402 0.9719
14 Br 0.8587 0.6574 0.4314
15 Br 0.9851 0.8578 0.7910
16 O 0.0139 0.4419 0.8273
17 O 0.1171 0.6754 0.0021
18 O 0.2315 0.4662 0.6085
19 O 0.2728 0.9482 0.2762
20 O 0.3801 0.1345 0.6609
21 O 0.4095 0.2649 0.4347
22 O 0.5137 0.9398 0.4853
23 O 0.5581 0.4434 0.8288
24 O 0.6627 0.6712 0.0104
25 O 0.7604 0.9366 0.2680
26 O 0.8602 0.1446 0.6613
27 O 0.9314 0.2557 0.4240